The following is a calculated PXRD pattern of Te2MoW2Se2S2. It was derived from a structure optimized by DFT (PBE), using Cu Kα (weighted mean of Kα1 and Kα2).
No peak broadening, texture or thermal motion is included.

Atomic structure:
Unit cell a=3.351 b=3.351 c=31.049 alpha=90.00 beta=90.00 gamma=120.00
Atoms (fractional coordinates):
Te (0.000, 0.000, 0.000)
Te (0.000, 0.000, 0.123)
Mo (0.000, 0.000, 0.830)
W (0.000, 0.000, 0.293)
W (0.333, 0.667, 0.061)
Se (0.333, 0.667, 0.239)
Se (0.333, 0.667, 0.347)
S (0.333, 0.667, 0.781)
S (0.333, 0.667, 0.879)

Largest 10 diffraction maxima, by angle, 2θ from 15° to 90°:
| 2θ (°) | Rel. int. |
| --- | --- |
| 30.8 | 47 |
| 30.9 | 26 |
| 32.9 | 21 |
| 35.5 | 86 |
| 37.0 | 100 |
| 42.6 | 43 |
| 44.8 | 61 |
| 54.8 | 54 |
| 56.2 | 18 |
| 77.3 | 20 |



The following is a calculated PXRD pattern of Sm5P12Ru19. It was derived from a structure optimized by DFT (PBE), using Cu Kα (weighted mean of Kα1 and Kα2).
No peak broadening, texture or thermal motion is included.

Atomic structure:
Unit cell a=12.590 b=12.590 c=4.011 alpha=90.00 beta=90.00 gamma=120.00
Atoms (fractional coordinates):
Sm (0.000, 0.816, 0.000)
Sm (0.184, 0.184, 0.000)
Sm (0.333, 0.667, 0.500)
Sm (0.667, 0.333, 0.500)
Sm (0.816, 0.000, 0.000)
P (0.000, 0.186, 0.500)
P (0.000, 0.626, 0.500)
P (0.170, 0.477, 0.000)
P (0.186, 0.000, 0.500)
P (0.306, 0.830, 0.000)
P (0.374, 0.374, 0.500)
P (0.477, 0.170, 0.000)
P (0.523, 0.694, 0.000)
P (0.626, 0.000, 0.500)
P (0.694, 0.523, 0.000)
P (0.814, 0.814, 0.500)
P (0.830, 0.306, 0.000)
Ru (0.000, 0.000, 0.500)
Ru (0.000, 0.284, 0.000)
Ru (0.000, 0.445, 0.500)
Ru (0.125, 0.634, 0.000)
Ru (0.185, 0.378, 0.500)
Ru (0.193, 0.815, 0.500)
Ru (0.284, 0.000, 0.000)
Ru (0.366, 0.491, 0.000)
Ru (0.378, 0.185, 0.500)
Ru (0.445, 0.000, 0.500)
Ru (0.491, 0.366, 0.000)
Ru (0.509, 0.875, 0.000)
Ru (0.555, 0.555, 0.500)
Ru (0.622, 0.807, 0.500)
Ru (0.634, 0.125, 0.000)
Ru (0.716, 0.716, 0.000)
Ru (0.807, 0.622, 0.500)
Ru (0.815, 0.193, 0.500)
Ru (0.875, 0.509, 0.000)

Largest 10 diffraction maxima, by angle, 2θ from 15° to 90°:
| 2θ (°) | Rel. int. |
| --- | --- |
| 28.4 | 16 |
| 36.3 | 100 |
| 37.2 | 25 |
| 37.8 | 12 |
| 45.2 | 24 |
| 46.4 | 9 |
| 50.2 | 14 |
| 69.1 | 8 |
| 69.8 | 10 |
| 77.6 | 13 |



The following is a calculated PXRD pattern of MnSi. It was derived from a structure optimized by DFT (PBE), using Cu Kα (weighted mean of Kα1 and Kα2).
No peak broadening, texture or thermal motion is included.

Atomic structure:
Unit cell a=4.520 b=4.520 c=4.520 alpha=90.00 beta=90.00 gamma=90.00
Atoms (fractional coordinates):
Mn (0.137, 0.137, 0.137)
Mn (0.363, 0.863, 0.637)
Mn (0.637, 0.363, 0.863)
Mn (0.863, 0.637, 0.363)
Si (0.155, 0.345, 0.655)
Si (0.345, 0.655, 0.155)
Si (0.655, 0.155, 0.345)
Si (0.845, 0.845, 0.845)

Largest 10 diffraction maxima, by angle, 2θ from 15° to 90°:
| 2θ (°) | Rel. int. |
| --- | --- |
| 27.9 | 18 |
| 34.4 | 16 |
| 39.9 | 5 |
| 44.8 | 100 |
| 49.4 | 51 |
| 61.6 | 3 |
| 68.9 | 11 |
| 75.9 | 7 |
| 79.3 | 28 |
| 86.0 | 8 |



The following is a calculated PXRD pattern of Ba3Bi2N4. It was derived from a structure optimized by DFT (PBE), using Cu Kα (weighted mean of Kα1 and Kα2).
No peak broadening, texture or thermal motion is included.

Atomic structure:
Unit cell a=8.764 b=8.764 c=6.314 alpha=97.45 beta=97.45 gamma=93.56
Atoms (fractional coordinates):
Ba (0.105, 0.895, 0.750)
Ba (0.282, 0.495, 0.456)
Ba (0.495, 0.282, 0.956)
Ba (0.505, 0.718, 0.044)
Ba (0.718, 0.505, 0.544)
Ba (0.895, 0.105, 0.250)
Bi (0.100, 0.321, 0.866)
Bi (0.321, 0.100, 0.366)
Bi (0.679, 0.900, 0.634)
Bi (0.900, 0.679, 0.134)
N (0.134, 0.178, 0.561)
N (0.178, 0.134, 0.061)
N (0.293, 0.493, 0.914)
N (0.493, 0.293, 0.414)
N (0.507, 0.707, 0.586)
N (0.707, 0.507, 0.086)
N (0.822, 0.866, 0.939)
N (0.866, 0.822, 0.439)

Largest 10 diffraction maxima, by angle, 2θ from 15° to 90°:
| 2θ (°) | Rel. int. |
| --- | --- |
| 25.4 | 48 |
| 26.7 | 100 |
| 27.9 | 43 |
| 29.2 | 55 |
| 32.3 | 53 |
| 38.9 | 33 |
| 45.7 | 28 |
| 48.7 | 15 |
| 51.0 | 32 |
| 52.8 | 17 |



The following is a calculated PXRD pattern of Na2AlHgBr6. It was derived from a structure optimized by DFT (PBE), using Cu Kα (weighted mean of Kα1 and Kα2).
No peak broadening, texture or thermal motion is included.

Atomic structure:
Unit cell a=7.745 b=7.745 c=7.745 alpha=60.00 beta=60.00 gamma=60.00
Atoms (fractional coordinates):
Na (0.250, 0.250, 0.250)
Na (0.750, 0.750, 0.750)
Al (0.000, 0.000, 0.000)
Hg (0.500, 0.500, 0.500)
Br (0.231, 0.231, 0.769)
Br (0.231, 0.769, 0.231)
Br (0.231, 0.769, 0.769)
Br (0.769, 0.231, 0.231)
Br (0.769, 0.231, 0.769)
Br (0.769, 0.769, 0.231)

Largest 10 diffraction maxima, by angle, 2θ from 15° to 90°:
| 2θ (°) | Rel. int. |
| --- | --- |
| 16.2 | 100 |
| 27.0 | 35 |
| 28.2 | 27 |
| 32.7 | 85 |
| 35.7 | 34 |
| 36.7 | 48 |
| 46.9 | 58 |
| 50.0 | 25 |
| 58.4 | 19 |
| 78.0 | 22 |